Entry 1:
Structure and computed X-ray diffraction stick pattern of Cs3H5Pd (DFT lattice parameters and positions (PBE); Cu Kα (weighted mean of Kα1 and Kα2)).
Lines closer than 0.1° are merged.

Main lines, in order of falling intensity (10° ≤ 2θ ≤ 80°):
index  two_theta  d (Å)  I_rel
2 0 1  25.60  3.480  100
2 1 1  27.78  3.211  30
0 0 2  28.20  3.164  28
2 2 0  30.34  2.946  24
2 1 0  23.88  3.726  21
2 2 2  41.90  2.156  20
2 0 3  48.37  1.882  17
2 1 2  37.28  2.412  14
4 1 1  47.22  1.925  12
4 1 0  44.82  2.022  11

Structure:
a b c (Å): 8.332 8.332 6.328
angles (deg): 90.00 90.00 90.00
Space group P4/mbm (No. 127)
Unique sites:
Cs 0.000 0.000 0.000
Cs 0.184 0.316 0.500
H 0.000 0.000 0.500
H 0.101 0.601 0.186
Pd 0.000 0.500 0.000

Entry 2:
Structure and computed X-ray diffraction stick pattern of CsHS (DFT lattice parameters and positions (PBE); Cu Kα (weighted mean of Kα1 and Kα2)).
Lines closer than 0.1° are merged.

Main lines, in order of falling intensity (10° ≤ 2θ ≤ 80°):
index  two_theta  d (Å)  I_rel
2 0 2  28.62  3.119  100
2 2 0  29.98  2.980  44
2 0 0  21.08  4.215  35
4 2 2  52.40  1.746  34
0 0 2  19.14  4.638  21
2 2 4  49.82  1.830  19
2 2 2  35.81  2.507  19
4 0 0  42.91  2.107  16
4 0 4  59.25  1.560  11
0 0 4  38.83  2.319  10

Structure:
a b c (Å): 8.430 8.430 9.276
angles (deg): 90.00 90.00 90.00
Space group I4/m (No. 87)
Unique sites:
Cs 0.000 0.000 0.235
Cs 0.000 0.500 0.250
H 0.088 0.754 0.500
S 0.244 0.250 0.500

Entry 3:
Structure and computed X-ray diffraction stick pattern of Cs2TmH4 (DFT lattice parameters and positions (PBE); Cu Kα (weighted mean of Kα1 and Kα2)).
Lines closer than 0.1° are merged.

Main lines, in order of falling intensity (10° ≤ 2θ ≤ 80°):
index  two_theta  d (Å)  I_rel
1 0 3  26.14  3.409  100
1 1 0  28.64  3.117  42
2 1 3  49.23  1.851  35
1 1 6  44.50  2.036  21
2 0 0  40.95  2.204  16
2 0 6  53.78  1.705  12
0 0 6  33.32  2.689  12
1 0 9  55.33  1.660  9
2 1 9  71.08  1.326  9
3 1 6  77.06  1.238  9

Structure:
a b c (Å): 4.408 4.408 16.132
angles (deg): 90.00 90.00 90.00
Space group I4/mmm (No. 139)
Unique sites:
Cs 0.000 0.000 0.154
Tm 0.000 0.000 0.500
H 0.000 0.000 0.365
H 0.000 0.500 0.000

Entry 4:
Structure and computed X-ray diffraction stick pattern of Cs3ZnH5 (DFT lattice parameters and positions (PBE); Cu Kα (weighted mean of Kα1 and Kα2)).
Lines closer than 0.1° are merged.

Main lines, in order of falling intensity (10° ≤ 2θ ≤ 80°):
index  two_theta  d (Å)  I_rel
2 0 2  25.77  3.457  100
2 1 1  24.90  3.576  51
0 0 4  29.02  3.077  29
2 1 3  32.41  2.763  28
2 2 0  30.25  2.954  24
2 2 4  42.42  2.131  18
4 1 1  45.35  2.000  17
2 0 6  49.51  1.841  16
1 1 2  20.84  4.262  13
4 1 3  50.21  1.817  12

Structure:
a b c (Å): 8.356 8.356 12.306
angles (deg): 90.00 90.00 90.00
Space group I4/mcm (No. 140)
Unique sites:
Cs 0.000 0.000 0.250
Cs 0.180 0.320 0.000
Zn 0.000 0.500 0.250
H 0.000 0.000 0.000
H 0.115 0.385 0.330

Entry 5:
Structure and computed X-ray diffraction stick pattern of CsHfMg14 (DFT lattice parameters and positions (PBE); Cu Kα (weighted mean of Kα1 and Kα2)).
Lines closer than 0.1° are merged.

Main lines, in order of falling intensity (10° ≤ 2θ ≤ 80°):
index  two_theta  d (Å)  I_rel
2 0 2  35.64  2.519  100
1 0 0  15.41  5.749  68
1 0 2  22.98  3.869  60
2 0 0  31.11  2.874  33
1 1 2  31.93  2.803  25
0 0 4  34.28  2.616  23
2 0 4  46.97  1.935  21
0 0 2  16.95  5.232  20
1 1 0  26.86  3.319  20
2 2 4  66.75  1.401  19

Structure:
a b c (Å): 6.6381 6.6381 10.4640
angles (deg): 90.00 90.00 120.00
Space group P-6m2 (No. 187)
Unique sites:
Cs 0.0000 0.0000 0.0000
Hf 0.0000 0.0000 0.5000
Mg 0.0076 0.5038 0.0000
Mg 0.1713 0.3425 0.2679
Mg 0.5009 0.0018 0.5000
Mg 0.6667 0.3333 0.2468

Entry 6:
Structure and computed X-ray diffraction stick pattern of CsHfMg14 (DFT lattice parameters and positions (PBE); Cu Kα (weighted mean of Kα1 and Kα2)).
Lines closer than 0.1° are merged.

Main lines, in order of falling intensity (10° ≤ 2θ ≤ 80°):
index  two_theta  d (Å)  I_rel
2 2 2  35.48  2.530  100
1 0 2  17.82  4.978  48
2 0 4  36.08  2.489  42
4 0 0  34.09  2.630  34
0 0 2  15.68  5.651  31
4 2 6  67.23  1.393  30
0 2 2  30.99  2.886  30
0 0 4  31.65  2.827  29
2 0 0  16.86  5.260  28
2 0 2  23.10  3.850  28

Structure:
a b c (Å): 10.520 6.713 11.302
angles (deg): 90.00 90.00 90.00
Space group Amm2 (No. 38)
Unique sites:
Cs 0.000 0.000 0.000
Hf 0.000 0.000 0.486
Mg 0.000 0.249 0.749
Mg 0.244 0.000 0.663
Mg 0.261 0.234 0.415
Mg 0.267 0.000 0.175
Mg 0.500 0.000 0.500
Mg 0.500 0.000 0.997
Mg 0.500 0.245 0.748

Entry 7:
Structure and computed X-ray diffraction stick pattern of CsHfMg6O7 (DFT lattice parameters and positions (PBE); Cu Kα (weighted mean of Kα1 and Kα2)).
Lines closer than 0.1° are merged.

Main lines, in order of falling intensity (10° ≤ 2θ ≤ 80°):
index  two_theta  d (Å)  I_rel
1 0 2  25.12  3.545  100
1 0 3  28.91  3.088  76
1 0 1  22.57  3.940  53
1 1 1  31.47  2.843  51
2 0 0  44.13  2.052  47
0 0 2  12.59  7.031  30
1 1 6  50.06  1.822  30
0 0 5  31.82  2.813  30
2 1 2  51.45  1.776  29
2 1 3  53.62  1.709  28

Structure:
a b c (Å): 4.105 4.105 14.063
angles (deg): 90.00 90.00 90.00
Space group P4mm (No. 99)
Unique sites:
Cs 0.000 0.000 0.000
Hf 0.500 0.500 0.813
Mg 0.000 0.000 0.451
Mg 0.000 0.500 0.272
Mg 0.000 0.500 0.634
Mg 0.500 0.500 0.456
O 0.000 0.000 0.592
O 0.000 0.500 0.417
O 0.000 0.500 0.775
O 0.500 0.500 0.601
O 0.500 0.500 0.947

Entry 8:
Structure and computed X-ray diffraction stick pattern of Cs3Hf2P5S18 (DFT lattice parameters and positions (PBE); Cu Kα (weighted mean of Kα1 and Kα2)).
Lines closer than 0.1° are merged.

Main lines, in order of falling intensity (10° ≤ 2θ ≤ 80°):
index  two_theta  d (Å)  I_rel
2 0 0  18.42  4.817  100
0 2 1  17.61  5.036  90
1 1 -5  17.50  5.069  75
1 1 -1  12.76  6.939  72
0 0 10  25.84  3.448  71
0 0 4  10.26  8.620  66
1 1 5  18.59  4.772  63
1 1 -4  15.83  5.598  52
2 2 1  25.74  3.461  48
1 1 -6  19.40  4.576  46

Structure:
a b c (Å): 9.666 10.182 34.596
angles (deg): 90.00 94.69 90.00
Space group Cc (No. 9)
Unique sites:
Cs 0.000 0.098 0.000
Cs 0.009 0.390 0.204
Cs 0.418 0.143 0.890
Hf 0.056 0.089 0.789
Hf 0.453 0.292 0.100
P 0.023 0.247 0.872
P 0.031 0.149 0.694
P 0.090 0.278 0.517
P 0.170 0.471 0.081
P 0.241 0.181 0.309
S 0.013 0.455 0.611
S 0.027 0.048 0.863
S 0.030 0.174 0.305
S 0.096 0.317 0.923
S 0.108 0.314 0.824
S 0.137 0.486 0.520
S 0.139 0.253 0.738
S 0.147 0.111 0.649
S 0.154 0.227 0.466
S 0.171 0.272 0.086
S 0.182 0.184 0.565
S 0.298 0.341 0.278
S 0.304 0.197 0.369
S 0.308 0.003 0.290
S 0.362 0.252 0.168
S 0.365 0.467 0.600
S 0.386 0.243 0.027
S 0.478 0.482 0.723

Entry 9:
Structure and computed X-ray diffraction stick pattern of Cs3Hg (DFT lattice parameters and positions (PBE); Cu Kα (weighted mean of Kα1 and Kα2)).
Lines closer than 0.1° are merged.

Main lines, in order of falling intensity (10° ≤ 2θ ≤ 80°):
index  two_theta  d (Å)  I_rel
1 1 1  22.70  3.916  100
2 0 0  26.28  3.392  52
3 1 1  44.29  2.045  51
2 2 0  37.50  2.398  41
3 3 1  59.39  1.556  21
4 2 0  61.09  1.517  20
5 1 1  72.39  1.305  16
2 2 2  46.37  1.958  15
4 2 2  67.66  1.385  15
4 0 0  54.08  1.696  7

Structure:
a b c (Å): 6.784 6.784 6.784
angles (deg): 90.00 90.00 90.00
Space group Pm-3m (No. 221)
Unique sites:
Cs 0.000 0.000 0.500
Hg 0.500 0.500 0.500

Entry 10:
Structure and computed X-ray diffraction stick pattern of Cs5Hg19 (DFT lattice parameters and positions (PBE); Cu Kα (weighted mean of Kα1 and Kα2)).
Lines closer than 0.1° are merged.

Main lines, in order of falling intensity (10° ≤ 2θ ≤ 80°):
index  two_theta  d (Å)  I_rel
2 4 0  32.09  2.790  100
3 1 2  27.56  3.237  94
1 2 3  28.56  3.126  74
6 2 0  46.01  1.973  34
3 1 4  39.17  2.300  30
0 0 2  15.65  5.662  27
5 0 3  43.48  2.081  26
3 1 6  53.85  1.702  18
2 4 2  35.89  2.502  18
1 2 1  17.72  5.004  17

Structure:
a b c (Å): 12.474 12.474 11.323
angles (deg): 90.00 90.00 90.00
Space group I4/m (No. 87)
Unique sites:
Cs 0.000 0.000 0.000
Cs 0.119 0.676 0.500
Hg 0.000 0.000 0.500
Hg 0.000 0.500 0.250
Hg 0.080 0.173 0.282
Hg 0.114 0.703 0.140